1.
Simulated X-ray powder pattern of Nb2In2NiPt for Cu Ka, from DFT lattice parameters and positions (PBE).

Cell and atoms:
a b c (Å): 7.5402 4.3411 14.4000
angles (deg): 90.00 99.81 90.00
Positions (direct):
Nb: 0.0000 0.0000 0.0000
Nb: 0.0006 0.5000 0.4914
Nb: 0.2427 0.0000 0.7406
Nb: 0.2445 0.5000 0.2426
Nb: 0.4900 0.0000 0.4885
Nb: 0.4987 0.5000 0.9998
Nb: 0.7460 0.0000 0.2402
Nb: 0.7519 0.5000 0.7411
In: 0.1209 0.5000 0.8612
In: 0.1303 0.0000 0.3643
In: 0.3590 0.5000 0.6117
In: 0.3741 0.0000 0.1278
In: 0.6075 0.5000 0.3624
In: 0.6214 0.0000 0.8675
In: 0.8752 0.5000 0.1273
In: 0.8840 0.0000 0.6192
Ni: 0.0592 0.0000 0.1815
Ni: 0.0592 0.5000 0.6781
Ni: 0.3056 0.5000 0.4277
Ni: 0.5591 0.5000 0.1803
Pt: 0.3092 0.0000 0.9348
Pt: 0.5589 0.0000 0.6770
Pt: 0.8093 0.0000 0.4280
Pt: 0.8131 0.5000 0.9349

Peak list (6 most intense, 10° ≤ 2θ ≤ 80°, low angle first)
| d/Å | I_rel |
| --- | --- |
| 3.549 | 45 |
| 2.174 | 100 |
| 2.169 | 20 |
| 1.851 | 14 |
| 1.534 | 13 |
| 1.254 | 25 |

---

2.
Simulated X-ray powder pattern of Nb2InO4 for Cu Ka, from DFT lattice parameters and positions (PBE).

Cell and atoms:
a b c (Å): 6.5890 6.5890 6.5890
angles (deg): 60.00 60.00 60.00
Positions (direct):
Nb: 0.0000 0.0000 0.0000
Nb: 0.0000 0.0000 0.5000
Nb: 0.0000 0.5000 0.0000
Nb: 0.5000 0.0000 0.0000
In: 0.3750 0.3750 0.3750
In: 0.6250 0.6250 0.6250
O: 0.1805 0.7732 0.7732
O: 0.2268 0.2268 0.2268
O: 0.2268 0.2268 0.8195
O: 0.2268 0.8195 0.2268
O: 0.7732 0.1805 0.7732
O: 0.7732 0.7732 0.1805
O: 0.7732 0.7732 0.7732
O: 0.8195 0.2268 0.2268

Peak list (6 most intense, 10° ≤ 2θ ≤ 80°, low angle first)
| d/Å | I_rel |
| --- | --- |
| 3.294 | 38 |
| 2.810 | 100 |
| 2.690 | 17 |
| 1.793 | 42 |
| 1.647 | 39 |
| 1.213 | 20 |

---

Number 1 is which compound?
Nb2In2NiPt

---

Number 1 is which compound?
Nb2In2NiPt